This entry pairs a crystal structure of Na4TeSe with its computed powder XRD pattern. Radiation: Cu Kα. Structure: a structure optimized by DFT (PBE).
No peak broadening, texture or thermal motion is included.

Lattice parameters (Å, degrees): 5.0074 5.0074 7.1132 90.00 90.00 90.00
Sites, in units of the cell vectors:
Na 0.0000 0.5000 0.2386
Na 0.0000 0.5000 0.7614
Na 0.5000 0.0000 0.2386
Na 0.5000 0.0000 0.7614
Te 0.0000 0.0000 0.5000
Se 0.5000 0.5000 0.0000

Most intense lines, 10° ≤ 2θ ≤ 90°, in order of falling intensity:
2θ (°)  I_rel
21.7  1000
35.8  897
42.3  341
64.4  201
42.2  172
56.5  144
80.1  104
51.6  102
64.2  99
25.2  92